Record 1
Calculated PXRD pattern
Compound: K2MnH4Cl4O2
Radiation: Cu Kα, 1.54184 Å
Structure: a GGA+U-relaxed structure

Atomic structure:
```
data_K2MnH4Cl4O2
_symmetry_space_group_name_H-M 'I -4 2 m'
_symmetry_Int_Tables_number 121
_symmetry_space_group_name_Hall 'I -4 2'
_cell_length_a 7.4525
_cell_length_b 7.4525
_cell_length_c 8.3059
_cell_angle_alpha 90.00
_cell_angle_beta 90.00
_cell_angle_gamma 90.00
loop_
_atom_site_label
_atom_site_type_symbol
_atom_site_fract_x
_atom_site_fract_y
_atom_site_fract_z
_atom_site_occupancy
K1 K 0.0000 0.5000 0.2500 1
Mn1 Mn 0.0000 0.0000 0.0000 1
H1 H 0.0749 0.0749 0.6622 1
Cl1 Cl 0.2430 0.2430 0.0086 1
O1 O 0.0000 0.0000 0.2669 1
```

The 10 most intense peaks (2θ = 10–90°), sorted by position:
hkl  2θ/deg  intensity
1 0 1  15.98  42
1 1 2  27.34  40
2 0 2  32.28  96
2 2 0  34.03  100
0 0 4  43.59  21
3 1 2  44.19  20
4 0 0  48.88  30
2 2 4  56.42  36
4 2 2  59.80  23
4 0 4  67.55  20

Record 2
Calculated PXRD pattern
Compound: KMnH4Cl3O2
Radiation: Cu Kα, 1.54184 Å
Structure: a GGA+U-relaxed structure

Atomic structure:
```
data_KMnH4Cl3O2
_symmetry_space_group_name_H-M 'P -1'
_symmetry_Int_Tables_number 2
_cell_length_a 6.4342
_cell_length_b 7.1422
_cell_length_c 9.4277
_cell_angle_alpha 68.46
_cell_angle_beta 89.36
_cell_angle_gamma 68.53
loop_
_symmetry_equiv_pos_as_xyz
'x,y,z'
'-x,-y,-z'
loop_
_atom_site_label
_atom_site_type_symbol
_atom_site_fract_x
_atom_site_fract_y
_atom_site_fract_z
_atom_site_occupancy
K1 K 0.0973 0.1334 0.1954 1
Mn1 Mn 0.3845 0.4604 0.3249 1
H1 H 0.0960 0.2695 0.4872 1
H2 H 0.3333 0.0963 0.5778 1
H3 H 0.3575 0.3006 0.8214 1
H4 H 0.4587 0.7400 0.0509 1
Cl1 Cl 0.0049 0.6412 0.1617 1
Cl2 Cl 0.2467 0.6975 0.4891 1
Cl3 Cl 0.4280 0.8079 0.8024 1
O1 O 0.2584 0.2167 0.4772 1
O2 O 0.4829 0.7200 0.1600 1
```

The 10 most intense peaks (2θ = 10–90°), sorted by position:
hkl  2θ/deg  intensity
0 1 0  14.47  60
1 0 -1  16.87  95
1 1 -1  21.05  73
0 2 2  28.38  92
2 1 1  29.24  73
0 0 3  30.91  52
1 2 -1  32.22  76
0 2 3  33.30  100
2 0 2  39.17  69
2 2 -2  42.86  64

Record 3
Calculated PXRD pattern
Compound: KMnH4Cl3O2
Radiation: Cu Kα, 1.54184 Å
Structure: a GGA+U-relaxed structure

Atomic structure:
```
data_KMnH4Cl3O2
_symmetry_space_group_name_H-M 'P -1'
_symmetry_Int_Tables_number 2
_cell_length_a 6.2020
_cell_length_b 6.2177
_cell_length_c 10.9332
_cell_angle_alpha 104.80
_cell_angle_beta 103.90
_cell_angle_gamma 96.39
loop_
_symmetry_equiv_pos_as_xyz
'x,y,z'
'-x,-y,-z'
loop_
_atom_site_label
_atom_site_type_symbol
_atom_site_fract_x
_atom_site_fract_y
_atom_site_fract_z
_atom_site_occupancy
K1 K 0.2308 0.3598 0.0908 1
Mn1 Mn 0.0070 0.1706 0.6779 1
H1 H 0.2251 0.5096 0.4256 1
H2 H 0.2377 0.8525 0.7819 1
H3 H 0.4158 0.7009 0.4255 1
H4 H 0.4288 0.0444 0.7824 1
Cl1 Cl 0.2097 0.2083 0.4990 1
Cl2 Cl 0.2101 0.8997 0.1626 1
Cl3 Cl 0.2368 0.5444 0.8351 1
O1 O 0.2555 0.6284 0.3835 1
O2 O 0.2645 0.0059 0.7713 1
```

The 10 most intense peaks (2θ = 10–90°), sorted by position:
hkl  2θ/deg  intensity
0 1 -1  14.98  100
1 -1 1  21.01  28
0 1 2  26.29  35
1 0 -3  26.44  26
2 0 0  30.22  40
0 2 1  33.99  28
1 1 2  34.11  24
2 0 -3  34.23  26
1 1 -4  34.36  23
2 -2 2  42.78  27